Entry 1:
Diffraction record for CaMoPd. The powder X-ray diffraction pattern is calculated, not measured: it uses the PBE geometry in Alexandria and CuKα.
Neutral-atom scattering factors, no anomalous dispersion.

The 12 most intense peaks (5° ≤ 2θ ≤ 70°), by intensity:
Position (°2θ)	Rel. int.
12.23	100
36.59	64
38.79	59
37.78	33
35.06	30
17.44	20
35.22	19
40.70	19
41.49	18
35.38	17
45.52	17
41.70	16

Structure:
```
data_CaMoPd
_cell_length_a 3.183
_cell_length_b 5.654
_cell_length_c 7.718
_cell_angle_alpha 70.52
_cell_angle_beta 89.94
_cell_angle_gamma 73.72
_symmetry_space_group_name_H-M 'P 1'
_symmetry_Int_Tables_number 1
_symmetry_space_group_name_Hall 'P 1'
loop_
_atom_site_label
_atom_site_fract_x
_atom_site_fract_y
_atom_site_fract_z
_atom_site_occupancy
Ca1 0.000 0.000 0.000 1
Ca2 0.316 0.363 0.265 1
Mo1 0.262 0.470 0.644 1
Mo2 0.688 0.617 0.816 1
Pd1 0.601 0.794 0.365 1
Pd2 0.974 0.045 0.614 1
```

Entry 2:
Diffraction record for Fe7Co. The powder X-ray diffraction pattern is calculated, not measured: it uses the PBE geometry in Alexandria and CuKα.
Neutral-atom scattering factors, no anomalous dispersion.

The 2 most intense peaks (5° ≤ 2θ ≤ 70°), by intensity:
Position (°2θ)	Rel. int.
45.17	100
65.79	15

Structure:
```
data_Fe7Co
_cell_length_a 5.678
_cell_length_b 5.678
_cell_length_c 5.678
_cell_angle_alpha 90.00
_cell_angle_beta 90.00
_cell_angle_gamma 90.00
_symmetry_space_group_name_H-M 'I m -3 m'
_symmetry_Int_Tables_number 229
_symmetry_space_group_name_Hall '-I 4 2 3'
loop_
_atom_site_label
_atom_site_fract_x
_atom_site_fract_y
_atom_site_fract_z
_atom_site_occupancy
Fe1 0.000 0.000 0.500 1
Fe2 0.250 0.250 0.250 1
Co1 0.000 0.000 0.000 1
```

Entry 3:
Diffraction record for B2IrOsS. The powder X-ray diffraction pattern is calculated, not measured: it uses the PBE geometry in Alexandria and CuKα.
Neutral-atom scattering factors, no anomalous dispersion.

The 11 most intense peaks (5° ≤ 2θ ≤ 70°), by intensity:
Position (°2θ)	Rel. int.
29.15	100
32.10	52
55.42	35
49.73	31
46.03	22
36.95	21
60.43	20
61.85	13
67.14	7
37.16	1
22.55	1

Structure:
```
data_B2IrOsS
_cell_length_a 3.943
_cell_length_b 3.943
_cell_length_c 4.866
_cell_angle_alpha 90.00
_cell_angle_beta 90.00
_cell_angle_gamma 90.00
_symmetry_space_group_name_H-M 'P 4/m m m'
_symmetry_Int_Tables_number 123
_symmetry_space_group_name_Hall '-P 4 2'
loop_
_atom_site_label
_atom_site_fract_x
_atom_site_fract_y
_atom_site_fract_z
_atom_site_occupancy
B1 0.000 0.500 0.000 1
Ir1 0.000 0.000 0.500 1
Os1 0.500 0.500 0.000 1
S1 0.500 0.500 0.500 1
```

Entry 4:
Diffraction record for Ca3Ga2Cu3. The powder X-ray diffraction pattern is calculated, not measured: it uses the PBE geometry in Alexandria and CuKα.
Neutral-atom scattering factors, no anomalous dispersion.

The 12 most intense peaks (5° ≤ 2θ ≤ 70°), by intensity:
Position (°2θ)	Rel. int.
37.97	100
37.15	81
40.55	78
36.67	72
32.92	66
18.84	60
46.69	41
11.84	39
33.29	35
36.04	34
48.67	31
23.32	29

Structure:
```
data_Ca3Ga2Cu3
_cell_length_a 7.757
_cell_length_b 14.953
_cell_length_c 5.927
_cell_angle_alpha 90.00
_cell_angle_beta 90.00
_cell_angle_gamma 90.00
_symmetry_space_group_name_H-M 'P n m a'
_symmetry_Int_Tables_number 62
_symmetry_space_group_name_Hall '-P 2ac 2n'
loop_
_atom_site_label
_atom_site_fract_x
_atom_site_fract_y
_atom_site_fract_z
_atom_site_occupancy
Ca1 0.023 0.105 0.140 1
Ca2 0.161 0.250 0.617 1
Ga1 0.132 0.601 0.367 1
Cu1 0.165 0.038 0.596 1
Cu2 0.188 0.750 0.584 1
```

Entry 5:
Diffraction record for K3ReRh3S8. The powder X-ray diffraction pattern is calculated, not measured: it uses the PBE geometry in Alexandria and CuKα.
Neutral-atom scattering factors, no anomalous dispersion.

The 12 most intense peaks (5° ≤ 2θ ≤ 70°), by intensity:
Position (°2θ)	Rel. int.
12.53	100
33.01	78
50.01	26
41.31	23
44.64	22
29.51	21
25.23	20
51.77	19
28.57	18
51.96	13
56.82	11
14.63	10

Structure:
```
data_K3ReRh3S8
_cell_length_a 12.643
_cell_length_b 7.290
_cell_length_c 8.229
_cell_angle_alpha 90.00
_cell_angle_beta 120.85
_cell_angle_gamma 90.00
_symmetry_space_group_name_H-M 'C 1 2/m 1'
_symmetry_Int_Tables_number 12
_symmetry_space_group_name_Hall '-C 2y'
loop_
_atom_site_label
_atom_site_fract_x
_atom_site_fract_y
_atom_site_fract_z
_atom_site_occupancy
K1 0.000 0.000 0.000 1
K2 0.250 0.250 0.000 1
Re1 0.000 0.000 0.500 1
Rh1 0.000 0.500 0.500 1
Rh2 0.250 0.250 0.500 1
S1 0.027 0.253 0.328 1
S2 0.222 0.500 0.665 1
S3 0.226 0.000 0.672 1
```

Entry 6:
Diffraction record for Ag2TeCl5. The powder X-ray diffraction pattern is calculated, not measured: it uses the PBE geometry in Alexandria and CuKα.
Neutral-atom scattering factors, no anomalous dispersion.

The 12 most intense peaks (5° ≤ 2θ ≤ 70°), by intensity:
Position (°2θ)	Rel. int.
16.24	100
29.75	86
19.57	56
39.74	53
15.28	51
50.42	51
25.20	46
26.25	32
39.37	31
30.84	29
31.51	27
32.81	26

Structure:
```
data_Ag2TeCl5
_cell_length_a 6.006
_cell_length_b 13.059
_cell_length_c 12.611
_cell_angle_alpha 90.00
_cell_angle_beta 90.00
_cell_angle_gamma 90.00
_symmetry_space_group_name_H-M 'C m c m'
_symmetry_Int_Tables_number 63
_symmetry_space_group_name_Hall '-C 2c 2'
loop_
_atom_site_label
_atom_site_fract_x
_atom_site_fract_y
_atom_site_fract_z
_atom_site_occupancy
Ag1 0.000 0.106 0.108 1
Te1 0.000 0.241 0.750 1
Cl1 0.000 0.094 0.601 1
Cl2 0.000 0.247 0.250 1
Cl3 0.000 0.373 0.608 1
```

Entry 7:
Diffraction record for Tm4Tl3Pb. The powder X-ray diffraction pattern is calculated, not measured: it uses the PBE geometry in Alexandria and CuKα.
Neutral-atom scattering factors, no anomalous dispersion.

The 11 most intense peaks (5° ≤ 2θ ≤ 70°), by intensity:
Position (°2θ)	Rel. int.
32.82	100
36.15	39
62.91	32
56.33	16
52.05	14
41.70	13
68.75	6
68.85	6
56.41	6
25.35	1
20.50	1

Structure:
```
data_Tm4Tl3Pb
_cell_length_a 18.018
_cell_length_b 4.970
_cell_length_c 4.970
_cell_angle_alpha 90.00
_cell_angle_beta 105.91
_cell_angle_gamma 90.00
_symmetry_space_group_name_H-M 'C 1 2/m 1'
_symmetry_Int_Tables_number 12
_symmetry_space_group_name_Hall '-C 2y'
loop_
_atom_site_label
_atom_site_fract_x
_atom_site_fract_y
_atom_site_fract_z
_atom_site_occupancy
Tm1 0.127 0.000 0.127 1
Tm2 0.127 0.500 0.627 1
Tl1 0.000 0.000 0.500 1
Tl2 0.250 0.000 0.750 1
Pb1 0.000 0.500 0.000 1
```